Diffraction record for Sn5S4Cl2. The PXRD pattern is simulated, not measured: it uses a DFT-relaxed cell (GGA-PBE, Alexandria) and a wavelength of 1.5418 Å.
Kinematic intensities with the Lorentz-polarization factor, no thermal factor.

Atomic structure:
Lattice parameters (Å, degrees): 17.949 5.923 6.063 90.00 90.00 90.00
Atoms (fractional coordinates):
Sn1 0.075 0.235 0.000
Sn2 0.077 0.735 0.548
Sn3 0.250 0.749 0.044
Sn4 0.423 0.735 0.548
Sn5 0.425 0.235 0.000
Sn6 0.575 0.765 0.000
Sn7 0.577 0.265 0.548
Sn8 0.750 0.251 0.044
Sn9 0.923 0.265 0.548
Sn10 0.925 0.765 0.000
S1 0.071 0.259 0.566
S2 0.082 0.770 0.000
S3 0.418 0.770 0.000
S4 0.429 0.259 0.566
S5 0.571 0.741 0.566
S6 0.582 0.230 0.000
S7 0.918 0.230 0.000
S8 0.929 0.741 0.566
Cl1 0.250 0.187 0.018
Cl2 0.250 0.701 0.630
Cl3 0.750 0.299 0.630
Cl4 0.750 0.813 0.018

Top 12 peaks for 15 to 90 degrees two-theta, in order of falling intensity:
2θ (°), I_rel, index
25.77, 100, 3 1 1
29.87, 69, 6 0 0
30.18, 66, 0 2 0
29.47, 65, 0 0 2
42.97, 49, 6 2 0
42.45, 45, 6 0 2
42.68, 44, 0 2 2
52.96, 44, 6 2 2
51.00, 24, 3 3 1
50.07, 21, 3 1 3
50.58, 17, 9 1 1
15.75, 17, 1 1 0